(1)
HfSb2Se2: calculated PXRD pattern (CuKα), based on a DFT-relaxed cell (PBE, OQMD).
Kinematic intensities with the Lorentz-polarization factor, no thermal factor.

Peak list (8 most intense, 2θ = 15–90°, sorted by position)
2θ (°)  I (rel.)
19.31  53
30.36  31
34.48  100
37.58  34
47.41  26
51.65  16
62.01  16
79.76  18

Structural model:
```
data_HfSb2Se2
_symmetry_space_group_name_H-M 'P 1'
_symmetry_Int_Tables_number 1
_cell_length_a 3.8351
_cell_length_b 3.8351
_cell_length_c 9.1911
_cell_angle_alpha 90.00
_cell_angle_beta 90.00
_cell_angle_gamma 90.00
loop_
_symmetry_equiv_pos_as_xyz
'x,y,z'
loop_
_atom_site_label
_atom_site_fract_x
_atom_site_fract_y
_atom_site_fract_z
Hf1 0.0000 0.0000 0.0000
Sb1 0.0000 0.5000 0.5000
Sb2 0.5000 0.0000 0.5000
Se1 0.5000 0.5000 0.1566
Se2 0.5000 0.5000 0.8434
```


(2)
Hg5Sb2I6: calculated PXRD pattern (CuKα), based on a DFT-relaxed cell (PBE, OQMD).
Kinematic intensities with the Lorentz-polarization factor, no thermal factor.

Peak list (8 most intense, 2θ = 15–90°, sorted by position)
2θ (°)  I (rel.)
23.28  53
25.98  75
26.92  55
27.07  45
27.25  100
28.18  34
41.67  30
42.24  35

Structural model:
```
data_Hg5Sb2I6
_symmetry_space_group_name_H-M 'P 1'
_symmetry_Int_Tables_number 1
_cell_length_a 21.5609
_cell_length_b 8.2341
_cell_length_c 10.8540
_cell_angle_alpha 90.00
_cell_angle_beta 90.00
_cell_angle_gamma 90.00
loop_
_symmetry_equiv_pos_as_xyz
'x,y,z'
loop_
_atom_site_label
_atom_site_fract_x
_atom_site_fract_y
_atom_site_fract_z
Hg1 0.0205 0.2430 0.0000
Hg2 0.1009 0.0535 0.3547
Hg3 0.1129 0.9186 0.7633
Hg4 0.1750 0.4080 0.6350
Hg5 0.2287 0.3512 0.0237
Hg6 0.2713 0.8512 0.5237
Hg7 0.3250 0.9080 0.1350
Hg8 0.3871 0.4186 0.2633
Hg9 0.3991 0.5535 0.8547
Hg10 0.4795 0.7430 0.5000
Hg11 0.5205 0.2570 0.0000
Hg12 0.6009 0.4465 0.3547
Hg13 0.6129 0.5814 0.7633
Hg14 0.6750 0.0920 0.6350
Hg15 0.7287 0.1488 0.0237
Hg16 0.7713 0.6488 0.5237
Hg17 0.8250 0.5920 0.1350
Hg18 0.8871 0.0814 0.2633
Hg19 0.8991 0.9465 0.8547
Hg20 0.9795 0.7570 0.5000
Sb1 0.0834 0.7253 0.3571
Sb2 0.1583 0.7261 0.5770
Sb3 0.3417 0.2261 0.0770
Sb4 0.4166 0.2253 0.8571
Sb5 0.5834 0.7747 0.3571
Sb6 0.6583 0.7739 0.5770
Sb7 0.8417 0.2739 0.0770
Sb8 0.9166 0.2747 0.8571
I1 0.0112 0.3037 0.2758
I2 0.0548 0.2086 0.6419
I3 0.1211 0.5078 0.9664
I4 0.1217 0.9978 0.0152
I5 0.2081 0.2550 0.3594
I6 0.2483 0.6776 0.2394
I7 0.2517 0.1776 0.7394
I8 0.2919 0.7550 0.8594
I9 0.3783 0.4978 0.5152
I10 0.3789 0.0078 0.4664
I11 0.4452 0.7086 0.1419
I12 0.4888 0.8037 0.7758
I13 0.5112 0.1963 0.2758
I14 0.5548 0.2914 0.6419
I15 0.6211 0.9922 0.9664
I16 0.6217 0.5022 0.0152
I17 0.7081 0.2450 0.3594
I18 0.7483 0.8224 0.2394
I19 0.7517 0.3224 0.7394
I20 0.7919 0.7450 0.8594
I21 0.8783 0.0022 0.5152
I22 0.8789 0.4922 0.4664
I23 0.9452 0.7914 0.1419
I24 0.9888 0.6963 0.7758
```


(3)
Y4Lu2Sn3N3: calculated PXRD pattern (CuKα), based on a DFT-relaxed cell (PBE, OQMD).
Kinematic intensities with the Lorentz-polarization factor, no thermal factor.

Peak list (8 most intense, 2θ = 15–90°, sorted by position)
2θ (°)  I (rel.)
29.40  21
34.42  100
35.44  19
46.69  16
52.14  21
62.97  17
63.99  17
64.63  20

Structural model:
```
data_Y4Lu2Sn3N3
_symmetry_space_group_name_H-M 'P 1'
_symmetry_Int_Tables_number 1
_cell_length_a 6.0756
_cell_length_b 6.0756
_cell_length_c 15.5996
_cell_angle_alpha 101.24
_cell_angle_beta 101.24
_cell_angle_gamma 60.02
loop_
_symmetry_equiv_pos_as_xyz
'x,y,z'
loop_
_atom_site_label
_atom_site_fract_x
_atom_site_fract_y
_atom_site_fract_z
Y1 0.0317 0.1937 0.0877
Y2 0.1350 0.3042 0.4123
Y3 0.1937 0.0317 0.5877
Y4 0.3042 0.1350 0.9123
Y5 0.6958 0.8650 0.0877
Y6 0.8063 0.9683 0.4123
Y7 0.8650 0.6958 0.5877
Y8 0.9683 0.8063 0.9123
Lu1 0.3583 0.5271 0.0815
Lu2 0.4729 0.6417 0.4185
Lu3 0.5271 0.3583 0.5815
Lu4 0.6417 0.4729 0.9185
Sn1 0.1029 0.8971 0.2500
Sn2 0.2685 0.4173 0.7507
Sn3 0.4173 0.2685 0.2507
Sn4 0.5827 0.7315 0.7493
Sn5 0.7315 0.5827 0.2493
Sn6 0.8971 0.1029 0.7500
N1 0.0000 0.5000 0.0000
N2 0.1778 0.6612 0.5000
N3 0.3388 0.8222 0.0000
N4 0.5000 0.0000 0.5000
N5 0.6612 0.1778 0.0000
N6 0.8222 0.3388 0.5000
```


(4)
GdHoNi2B2P2: calculated PXRD pattern (CuKα), based on a DFT-relaxed cell (PBE, OQMD).
Kinematic intensities with the Lorentz-polarization factor, no thermal factor.

Peak list (8 most intense, 2θ = 15–90°, sorted by position)
2θ (°)  I (rel.)
25.51  100
32.48  33
34.29  36
34.49  45
39.97  92
46.59  46
53.87  28
59.11  29

Structural model:
```
data_GdHoNi2B2P2
_symmetry_space_group_name_H-M 'P 1'
_symmetry_Int_Tables_number 1
_cell_length_a 3.8985
_cell_length_b 3.8985
_cell_length_c 7.8458
_cell_angle_alpha 90.00
_cell_angle_beta 90.00
_cell_angle_gamma 90.00
loop_
_symmetry_equiv_pos_as_xyz
'x,y,z'
loop_
_atom_site_label
_atom_site_fract_x
_atom_site_fract_y
_atom_site_fract_z
Gd1 0.0000 0.0000 0.0000
Ho1 0.5000 0.5000 0.5882
Ni1 0.0000 0.5000 0.2945
Ni2 0.5000 0.0000 0.2945
B1 0.0000 0.0000 0.3855
B2 0.5000 0.5000 0.1988
P1 0.0000 0.0000 0.6339
P2 0.5000 0.5000 0.9496
```


(5)
Er5Lu3: calculated PXRD pattern (CuKα), based on a DFT-relaxed cell (PBE, OQMD).
Kinematic intensities with the Lorentz-polarization factor, no thermal factor.

Peak list (8 most intense, 2θ = 15–90°, sorted by position)
2θ (°)  I (rel.)
29.08  24
32.57  24
33.42  100
44.22  15
51.55  20
58.66  20
62.31  22
62.84  16

Structural model:
```
data_Er5Lu3
_symmetry_space_group_name_H-M 'P 1'
_symmetry_Int_Tables_number 1
_cell_length_a 7.0922
_cell_length_b 7.0922
_cell_length_c 5.4988
_cell_angle_alpha 90.00
_cell_angle_beta 90.00
_cell_angle_gamma 120.00
loop_
_symmetry_equiv_pos_as_xyz
'x,y,z'
loop_
_atom_site_label
_atom_site_fract_x
_atom_site_fract_y
_atom_site_fract_z
Er1 0.0000 0.0000 0.0000
Er2 0.9996 0.4998 0.0000
Er3 0.3333 0.6667 0.5000
Er4 0.5002 0.0004 0.0000
Er5 0.5002 0.4998 0.0000
Lu1 0.3344 0.1672 0.5000
Lu2 0.8328 0.1672 0.5000
Lu3 0.8328 0.6656 0.5000
```


(6)
NbI2BrCl2: calculated PXRD pattern (CuKα), based on a DFT-relaxed cell (PBE, OQMD).
Kinematic intensities with the Lorentz-polarization factor, no thermal factor.

Peak list (8 most intense, 2θ = 15–90°, sorted by position)
2θ (°)  I (rel.)
16.29  38
18.88  89
22.14  46
27.26  55
28.68  94
29.34  100
30.00  99
39.07  46

Structural model:
```
data_NbI2BrCl2
_symmetry_space_group_name_H-M 'P 1'
_symmetry_Int_Tables_number 1
_cell_length_a 6.9244
_cell_length_b 7.5307
_cell_length_c 10.1332
_cell_angle_alpha 109.12
_cell_angle_beta 92.10
_cell_angle_gamma 113.83
loop_
_symmetry_equiv_pos_as_xyz
'x,y,z'
loop_
_atom_site_label
_atom_site_fract_x
_atom_site_fract_y
_atom_site_fract_z
Nb1 0.0982 0.2060 0.2041
Nb2 0.9018 0.7940 0.7959
I1 0.0809 0.8149 0.5698
I2 0.4483 0.5680 0.3194
I3 0.5517 0.4320 0.6806
I4 0.9191 0.1851 0.4302
Br1 0.1221 0.6368 0.8676
Br2 0.8779 0.3632 0.1324
Cl1 0.2081 0.1538 0.9584
Cl2 0.2776 0.0117 0.2331
Cl3 0.7224 0.9883 0.7669
Cl4 0.7919 0.8462 0.0416
```


(7)
PmAgSb: calculated PXRD pattern (CuKα), based on a DFT-relaxed cell (PBE, OQMD).
Kinematic intensities with the Lorentz-polarization factor, no thermal factor.

Peak list (8 most intense, 2θ = 15–90°, sorted by position)
2θ (°)  I (rel.)
22.45  23
25.97  21
37.06  100
43.76  11
53.42  17
60.33  8
66.80  34
78.94  11

Structural model:
```
data_PmAgSb
_symmetry_space_group_name_H-M 'P 1'
_symmetry_Int_Tables_number 1
_cell_length_a 6.8606
_cell_length_b 6.8606
_cell_length_c 6.8606
_cell_angle_alpha 90.00
_cell_angle_beta 90.00
_cell_angle_gamma 90.00
loop_
_symmetry_equiv_pos_as_xyz
'x,y,z'
loop_
_atom_site_label
_atom_site_fract_x
_atom_site_fract_y
_atom_site_fract_z
Pm1 0.0000 0.0000 0.0000
Pm2 0.0000 0.5000 0.5000
Pm3 0.5000 0.0000 0.5000
Pm4 0.5000 0.5000 0.0000
Ag1 0.2500 0.2500 0.2500
Ag2 0.2500 0.7500 0.7500
Ag3 0.7500 0.2500 0.7500
Ag4 0.7500 0.7500 0.2500
Sb1 0.0000 0.0000 0.5000
Sb2 0.0000 0.5000 0.0000
Sb3 0.5000 0.0000 0.0000
Sb4 0.5000 0.5000 0.5000
```


(8)
Hf4Ga2CN: calculated PXRD pattern (CuKα), based on a DFT-relaxed cell (PBE, OQMD).
Kinematic intensities with the Lorentz-polarization factor, no thermal factor.

Peak list (8 most intense, 2θ = 15–90°, sorted by position)
2θ (°)  I (rel.)
31.74  23
37.34  100
38.91  18
51.05  14
56.54  21
69.43  15
69.73  16
70.76  19

Structural model:
```
data_Hf4Ga2CN
_symmetry_space_group_name_H-M 'P 1'
_symmetry_Int_Tables_number 1
_cell_length_a 3.2556
_cell_length_b 3.2556
_cell_length_c 13.8881
_cell_angle_alpha 90.00
_cell_angle_beta 90.00
_cell_angle_gamma 120.00
loop_
_symmetry_equiv_pos_as_xyz
'x,y,z'
loop_
_atom_site_label
_atom_site_fract_x
_atom_site_fract_y
_atom_site_fract_z
Hf1 0.3333 0.6667 0.0902
Hf2 0.3333 0.6667 0.4109
Hf3 0.6667 0.3333 0.5891
Hf4 0.6667 0.3333 0.9098
Ga1 0.3333 0.6667 0.7484
Ga2 0.6667 0.3333 0.2516
C1 0.0000 0.0000 0.0000
N1 0.0000 0.0000 0.5000
```


(9)
Cu2SiSe3: calculated PXRD pattern (CuKα), based on a DFT-relaxed cell (PBE, OQMD).
Kinematic intensities with the Lorentz-polarization factor, no thermal factor.

Peak list (8 most intense, 2θ = 15–90°, sorted by position)
2θ (°)  I (rel.)
26.35  100
27.61  55
29.81  80
38.54  35
46.50  79
50.22  82
54.94  45
89.05  31

Structural model:
```
data_Cu2SiSe3
_symmetry_space_group_name_H-M 'P 1'
_symmetry_Int_Tables_number 1
_cell_length_a 6.7656
_cell_length_b 6.7656
_cell_length_c 6.4605
_cell_angle_alpha 90.00
_cell_angle_beta 90.00
_cell_angle_gamma 120.00
loop_
_symmetry_equiv_pos_as_xyz
'x,y,z'
loop_
_atom_site_label
_atom_site_fract_x
_atom_site_fract_y
_atom_site_fract_z
Cu1 0.0000 0.0000 0.0000
Cu2 0.0000 0.3311 0.5309
Cu3 0.3311 0.0000 0.5309
Cu4 0.6689 0.6689 0.5309
Si1 0.3333 0.6667 0.0001
Si2 0.6667 0.3333 0.0001
Se1 0.0000 0.0000 0.6329
Se2 0.0000 0.3438 0.1542
Se3 0.3333 0.6667 0.6514
Se4 0.3438 0.0000 0.1542
Se5 0.6562 0.6562 0.1542
Se6 0.6667 0.3333 0.6514
```


(10)
DyYFe2Ge2N: calculated PXRD pattern (CuKα), based on a DFT-relaxed cell (PBE, OQMD).
Kinematic intensities with the Lorentz-polarization factor, no thermal factor.

Peak list (8 most intense, 2θ = 15–90°, sorted by position)
2θ (°)  I (rel.)
33.75  48
34.40  56
35.00  45
36.48  100
37.09  40
39.59  70
41.75  41
46.87  46

Structural model:
```
data_DyYFe2Ge2N
_symmetry_space_group_name_H-M 'P 1'
_symmetry_Int_Tables_number 1
_cell_length_a 10.6289
_cell_length_b 3.8770
_cell_length_c 6.7879
_cell_angle_alpha 90.00
_cell_angle_beta 127.46
_cell_angle_gamma 90.00
loop_
_symmetry_equiv_pos_as_xyz
'x,y,z'
loop_
_atom_site_label
_atom_site_fract_x
_atom_site_fract_y
_atom_site_fract_z
Dy1 0.0000 0.0000 0.0000
Dy2 0.5000 0.5000 0.0000
Y1 0.3845 0.5000 0.4266
Y2 0.8845 0.0000 0.4266
Fe1 0.1358 0.5000 0.7970
Fe2 0.2495 0.0000 0.6312
Fe3 0.6358 0.0000 0.7970
Fe4 0.7495 0.5000 0.6312
Ge1 0.1038 0.5000 0.4155
Ge2 0.2812 0.0000 0.0118
Ge3 0.6038 0.0000 0.4155
Ge4 0.7812 0.5000 0.0118
N1 0.4430 0.0000 0.7154
N2 0.9430 0.5000 0.7154
```


(11)
Pr2Sm2C2Br2Cl3: calculated PXRD pattern (CuKα), based on a DFT-relaxed cell (PBE, OQMD).
Kinematic intensities with the Lorentz-polarization factor, no thermal factor.

Peak list (8 most intense, 2θ = 15–90°, sorted by position)
2θ (°)  I (rel.)
25.47  17
28.63  64
32.10  100
33.13  25
42.83  32
44.25  38
46.51  18
55.53  19

Structural model:
```
data_Pr2Sm2C2Br2Cl3
_symmetry_space_group_name_H-M 'P 1'
_symmetry_Int_Tables_number 1
_cell_length_a 9.8539
_cell_length_b 9.8539
_cell_length_c 7.9736
_cell_angle_alpha 104.16
_cell_angle_beta 104.16
_cell_angle_gamma 22.86
loop_
_symmetry_equiv_pos_as_xyz
'x,y,z'
loop_
_atom_site_label
_atom_site_fract_x
_atom_site_fract_y
_atom_site_fract_z
Pr1 0.0008 0.0008 0.2121
Pr2 0.9992 0.9992 0.7879
Sm1 0.3439 0.3439 0.8944
Sm2 0.6561 0.6561 0.1056
C1 0.4624 0.4624 0.9764
C2 0.5376 0.5376 0.0236
Br1 0.1695 0.1695 0.8325
Br2 0.8305 0.8305 0.1675
Cl1 0.1596 0.1596 0.3559
Cl2 0.5000 0.5000 0.5000
Cl3 0.8404 0.8404 0.6441
```


(12)
CsGdSeO: calculated PXRD pattern (CuKα), based on a DFT-relaxed cell (PBE, OQMD).
Kinematic intensities with the Lorentz-polarization factor, no thermal factor.

Peak list (8 most intense, 2θ = 15–90°, sorted by position)
2θ (°)  I (rel.)
21.39  36
24.45  52
28.19  95
29.25  41
30.73  100
33.05  32
36.44  50
39.79  26

Structural model:
```
data_CsGdSeO
_symmetry_space_group_name_H-M 'P 1'
_symmetry_Int_Tables_number 1
_cell_length_a 8.4748
_cell_length_b 7.5601
_cell_length_c 6.8187
_cell_angle_alpha 90.00
_cell_angle_beta 101.34
_cell_angle_gamma 90.00
loop_
_symmetry_equiv_pos_as_xyz
'x,y,z'
loop_
_atom_site_label
_atom_site_fract_x
_atom_site_fract_y
_atom_site_fract_z
Cs1 0.0884 0.2170 0.4789
Cs2 0.0884 0.2830 0.9789
Cs3 0.9116 0.7170 0.0211
Cs4 0.9116 0.7830 0.5211
Gd1 0.4804 0.6290 0.7826
Gd2 0.4804 0.8710 0.2826
Gd3 0.5196 0.1290 0.7174
Gd4 0.5196 0.3710 0.2174
Se1 0.2640 0.5947 0.3699
Se2 0.2640 0.9053 0.8699
Se3 0.7360 0.0947 0.1301
Se4 0.7360 0.4053 0.6301
O1 0.4149 0.1459 0.3846
O2 0.4149 0.3541 0.8846
O3 0.5851 0.6459 0.1154
O4 0.5851 0.8541 0.6154
```